# 1
For KIO3, a crystal structure in the Materials Project, relaxed with GGA-PBE gives the computed powder diffraction line list in this record (Cu Kα (weighted mean of Kα1 and Kα2)).

Cell and atoms:
Cell lengths 4.2003, 4.2003, 4.2003 Å; angles 90.00, 90.00, 90.00 degrees
Space group Pm-3m (No. 221)
Inequivalent atoms, fractional coordinates:
1 K 0.0000 0.0000 0.0000 x1
2 I 0.5000 0.5000 0.5000 x1
3 O 0.0000 0.5000 0.5000 x3

Peak list (6 most intense, 10° ≤ 2θ ≤ 90°, in order of rising 2θ)
(hkl), 2θ (°), intensity
1 0 0, 21.15, 56
1 1 0, 30.09, 100
2 0 0, 43.07, 37
2 1 0, 48.46, 24
2 1 1, 53.43, 39
2 2 0, 62.55, 22

***

# 2
For Zn2Ni21B20, a crystal structure in the Materials Project, relaxed with GGA-PBE gives the computed powder diffraction line list in this record (Cu Kα (weighted mean of Kα1 and Kα2)).

Cell and atoms:
Cell lengths 7.1936, 7.1936, 14.2704 Å; angles 90.00, 90.00, 90.00 degrees
Space group I4/mmm (No. 139)
Inequivalent atoms, fractional coordinates:
1 Zn 0.0000 0.0000 0.1904 x4
2 Ni 0.0000 0.0000 0.0000 x2
3 Ni 0.0000 0.0000 0.3617 x4
4 Ni 0.0000 0.2602 0.5000 x8
5 Ni 0.0000 0.2989 0.1007 x16
6 Ni 0.0000 0.5000 0.2500 x4
7 Ni 0.2500 0.2500 0.2500 x8
8 B 0.0000 0.2991 0.3461 x16
9 B 0.2028 0.2028 0.0000 x8
10 B 0.2057 0.2057 0.3941 x16

Peak list (6 most intense, 10° ≤ 2θ ≤ 90°, in order of rising 2θ)
(hkl), 2θ (°), intensity
2 1 3, 33.63, 23
2 2 2, 37.54, 100
1 1 6, 41.93, 22
2 1 5, 42.33, 99
4 0 0, 50.77, 64
5 2 5, 79.18, 25

***

# 3
For MnAlFeCo, a crystal structure in the Materials Project, relaxed with GGA-PBE gives the computed powder diffraction line list in this record (Cu Kα (weighted mean of Kα1 and Kα2)).

Cell and atoms:
Cell lengths 5.6914, 5.6914, 5.6914 Å; angles 90.00, 90.00, 90.00 degrees
Space group F-43m (No. 216)
Inequivalent atoms, fractional coordinates:
1 Mn 0.0000 0.0000 0.0000 x4
2 Al 0.0000 0.0000 0.5000 x4
3 Fe 0.2500 0.2500 0.7500 x4
4 Co 0.2500 0.2500 0.2500 x4

Peak list (6 most intense, 10° ≤ 2θ ≤ 90°, in order of rising 2θ)
(hkl), 2θ (°), intensity
1 1 1, 27.14, 6
2 0 0, 31.44, 5
2 2 0, 45.05, 100
3 1 1, 53.39, 2
4 0 0, 65.61, 15
4 2 2, 83.15, 29

***

What did the first record say?
For KIO3, a crystal structure in the Materials Project, relaxed with GGA-PBE gives the computed powder diffraction line list in this record (Cu Kα (weighted mean of Kα1 and Kα2)).

Cell and atoms:
Cell lengths 4.2003, 4.2003, 4.2003 Å; angles 90.00, 90.00, 90.00 degrees
Space group Pm-3m (No. 221)
Inequivalent atoms, fractional coordinates:
1 K 0.0000 0.0000 0.0000 x1
2 I 0.5000 0.5000 0.5000 x1
3 O 0.0000 0.5000 0.5000 x3

Peak list (6 most intense, 10° ≤ 2θ ≤ 90°, in order of rising 2θ)
(hkl), 2θ (°), intensity
1 0 0, 21.15, 56
1 1 0, 30.09, 100
2 0 0, 43.07, 37
2 1 0, 48.46, 24
2 1 1, 53.43, 39
2 2 0, 62.55, 22